Mn4O7F: calculated X-ray diffraction stick pattern (Cu Kα X-rays), based on a DFT-relaxed cell (GGA+U, Alexandria).
No peak broadening, texture or thermal motion is included.

Top 10 peaks for 10° ≤ 2θ ≤ 80°, by angle:
two_theta	d_spacing	Rel. int.	index
25.3	3.514	59.3	0 0 2
26.0	3.426	53.7	2 0 0
31.2	2.868	96.6	0 1 2
31.7	2.819	100.0	2 1 0
36.2	2.481	22.3	0 2 0
37.4	2.402	44.2	2 1 -2
55.3	1.662	46.6	2 2 2
55.5	1.656	39.1	0 1 4
56.9	1.619	35.6	4 1 0
65.9	1.417	30.3	2 3 -2

Structure:
```
Mn4O7F
1.0
6.9958 0.0000 0.0000
0.0000 4.9617 0.0000
-1.4427 0.0000 7.0283
Mn O F
8 14 2
direct
0.1713 0.0000 0.0887
0.1758 0.9794 0.5654
0.3248 0.4817 0.4304
0.3283 0.5173 0.9331
0.6717 0.0173 0.0669
0.6752 0.9817 0.5696
0.8242 0.4794 0.4346
0.8287 0.5000 0.9113
0.0766 0.3070 0.4326
0.0792 0.6806 0.9410
0.1896 0.8070 0.3355
0.3106 0.3317 0.1719
0.3108 0.6604 0.6721
0.4225 0.1543 0.5619
0.4229 0.8392 0.0606
0.5771 0.3392 0.9394
0.5775 0.6543 0.4381
0.6892 0.1604 0.3279
0.6894 0.8317 0.8281
0.8104 0.3070 0.6645
0.9208 0.1806 0.0590
0.9234 0.8070 0.5674
0.1897 0.1794 0.8159
0.8103 0.6794 0.1841
```